For SmAl4Ag12, the GGA-PBE geometry in Alexandria gives the computed powder X-ray diffraction pattern in this record (λ = 1.5418 Å (Cu Kα)).

Atomic structure:
a = 7.7992 Å, b = 7.7992 Å, c = 7.7992 Å
α = 109.47°, β = 109.47°, γ = 109.47°
Fractional positions:
1 Sm 0.0000 0.0000 0.0000
2 Al 0.0000 0.0000 0.5000
3 Al 0.0000 0.5000 0.0000
4 Al 0.5000 0.0000 0.0000
5 Al 0.5000 0.5000 0.5000
6 Ag 0.1551 0.3453 0.5004
7 Ag 0.1551 0.6547 0.8099
8 Ag 0.1901 0.8449 0.3453
9 Ag 0.3453 0.1901 0.8449
10 Ag 0.3453 0.5004 0.1551
11 Ag 0.5004 0.1551 0.3453
12 Ag 0.4996 0.8449 0.6547
13 Ag 0.6547 0.4996 0.8449
14 Ag 0.6547 0.8099 0.1551
15 Ag 0.8099 0.1551 0.6547
16 Ag 0.8449 0.3453 0.1901
17 Ag 0.8449 0.6547 0.4996

Top 12 peaks for 5 to 70 degrees two-theta, most intense first:
d (Å)	I (rel.)
2.848	100
2.407	43
1.766	32
1.501	15
1.838	13
1.544	9
2.014	6
1.920	4
1.461	3
4.503	3
2.123	3
1.424	2